Structure and simulated XRD peak list of Cu3NiH6Cl2O6 (a DFT-relaxed cell (PBE+U, Alexandria); Cu Kα).

Structure:
```
data_Cu3NiH6Cl2O6
_cell_length_a 7.0252
_cell_length_b 7.0252
_cell_length_c 13.5101
_cell_angle_alpha 90.00
_cell_angle_beta 90.00
_cell_angle_gamma 120.00
_symmetry_space_group_name_H-M 'R -3 m'
_symmetry_Int_Tables_number 166
_symmetry_space_group_name_Hall '-R 3 2"'
loop_
_atom_site_label
_atom_site_fract_x
_atom_site_fract_y
_atom_site_fract_z
Cu1 0.0000 0.5000 0.0000
Ni1 0.0000 0.0000 0.5000
H1 0.0638 0.5319 0.7552
Cl1 0.0000 0.0000 0.1758
O1 0.0860 0.5430 0.2748
```

Main lines, by angle (10° ≤ 2θ ≤ 90°):
| 2theta | d/Å | intensity | index |
| --- | --- | --- | --- |
| 15.98 | 5.547 | 83 | 1 0 1 |
| 19.71 | 4.505 | 15 | 0 0 3 |
| 30.11 | 2.968 | 27 | 0 2 1 |
| 32.31 | 2.771 | 100 | 1 1 3 |
| 39.88 | 2.260 | 49 | 0 2 4 |
| 40.04 | 2.252 | 12 | 0 0 6 |
| 49.28 | 1.849 | 27 | 0 3 3 |
| 52.07 | 1.756 | 30 | 2 2 0 |
| 62.91 | 1.477 | 13 | 2 0 8 |
| 67.65 | 1.385 | 19 | 2 2 6 |